1.
Calculated X-ray diffraction stick pattern
Compound: AcH7Pd2Rh2
Radiation: λ = 1.5418 Å (Cu Kα)
Structure: a crystal structure in Alexandria, relaxed with PBE
Kinematic intensities with the Lorentz-polarization factor, no thermal factor.

Main lines, sorted by position (2θ = 5–70°):
- 22.11 deg, d = 4.021 Å, intensity 6
- 23.40 deg, d = 3.801 Å, intensity 16
- 28.02 deg, d = 3.185 Å, intensity 12
- 31.06 deg, d = 2.879 Å, intensity 100
- 37.99 deg, d = 2.369 Å, intensity 68
- 38.11 deg, d = 2.361 Å, intensity 13
- 49.85 deg, d = 1.829 Å, intensity 26
- 50.33 deg, d = 1.813 Å, intensity 16
- 56.47 deg, d = 1.630 Å, intensity 9
- 64.35 deg, d = 1.448 Å, intensity 25
- 64.75 deg, d = 1.440 Å, intensity 8
- 68.62 deg, d = 1.368 Å, intensity 13

Structural model:
```
data_AcH7Pd2Rh2
_chemical_formula_sum 'Ac3 H21 Pd6 Rh6'
_cell_length_a 4.7373
_cell_length_b 4.7373
_cell_length_c 20.2097
_cell_angle_alpha 90.00
_cell_angle_beta 90.00
_cell_angle_gamma 120.00
_space_group_name_H-M_alt 'R -3 m'
_space_group_IT_number 166
_space_group_name_Hall '-R 3 2"'
loop_
_atom_site_label
_atom_site_type_symbol
_atom_site_fract_x
_atom_site_fract_y
_atom_site_fract_z
_atom_site_occupancy
Ac1 Ac 0.0000 0.0000 0.0000 1
H1 H 0.0000 0.0000 0.5000 1
H2 H 0.0541 0.5271 0.9351 1
Pd1 Pd 0.0000 0.0000 0.1952 1
Rh1 Rh 0.0000 0.0000 0.4217 1
```

2.
Calculated X-ray diffraction stick pattern
Compound: Na2LiTl6
Radiation: λ = 1.5418 Å (Cu Kα)
Structure: a crystal structure in Alexandria, relaxed with PBE
Kinematic intensities with the Lorentz-polarization factor, no thermal factor.

Main lines, sorted by position (2θ = 5–70°):
- 17.65 deg, d = 5.024 Å, intensity 17
- 21.61 deg, d = 4.111 Å, intensity 44
- 24.68 deg, d = 3.607 Å, intensity 71
- 30.68 deg, d = 2.914 Å, intensity 100
- 33.04 deg, d = 2.712 Å, intensity 41
- 35.74 deg, d = 2.512 Å, intensity 38
- 39.77 deg, d = 2.267 Å, intensity 78
- 43.92 deg, d = 2.061 Å, intensity 33
- 45.61 deg, d = 1.989 Å, intensity 17
- 59.25 deg, d = 1.559 Å, intensity 15
- 60.36 deg, d = 1.534 Å, intensity 17
- 66.92 deg, d = 1.398 Å, intensity 17

Structural model:
```
data_Na2LiTl6
_chemical_formula_sum 'Na4 Li2 Tl12'
_cell_length_a 14.3063
_cell_length_b 7.2144
_cell_length_c 5.0243
_cell_angle_alpha 90.00
_cell_angle_beta 90.10
_cell_angle_gamma 90.00
_space_group_name_H-M_alt 'C 1 2/m 1'
_space_group_IT_number 12
loop_
_space_group_symop_operation_xyz
'x,y,z'
'-x,-y,-z'
'-x,y,-z'
'x,-y,z'
'x+1/2,y+1/2,z'
'-x+1/2,-y+1/2,-z'
'-x+1/2,y+1/2,-z'
'x+1/2,-y+1/2,z'
loop_
_atom_site_label
_atom_site_type_symbol
_atom_site_fract_x
_atom_site_fract_y
_atom_site_fract_z
_atom_site_occupancy
Na1 Na 0.2222 0.0000 0.0006 1
Li1 Li 0.0000 0.0000 0.5000 1
Tl1 Tl 0.0000 0.2722 0.0000 1
Tl2 Tl 0.1407 0.2826 0.5005 1
```

3.
Calculated X-ray diffraction stick pattern
Compound: Li2Zn4Au
Radiation: λ = 1.5418 Å (Cu Kα)
Structure: a crystal structure in Alexandria, relaxed with PBE
Kinematic intensities with the Lorentz-polarization factor, no thermal factor.

Main lines, sorted by position (2θ = 5–70°):
- 22.65 deg, d = 3.926 Å, intensity 52
- 23.59 deg, d = 3.771 Å, intensity 100
- 27.04 deg, d = 3.298 Å, intensity 74
- 32.26 deg, d = 2.775 Å, intensity 39
- 39.76 deg, d = 2.267 Å, intensity 35
- 39.91 deg, d = 2.259 Å, intensity 33
- 40.75 deg, d = 2.214 Å, intensity 37
- 40.94 deg, d = 2.204 Å, intensity 36
- 41.49 deg, d = 2.176 Å, intensity 38
- 41.99 deg, d = 2.151 Å, intensity 39
- 44.70 deg, d = 2.027 Å, intensity 65
- 45.88 deg, d = 1.978 Å, intensity 27

Structural model:
```
data_Li2Zn4Au
_chemical_formula_sum 'Li4 Zn8 Au2'
_cell_length_a 6.7471
_cell_length_b 4.8865
_cell_length_c 7.3154
_cell_angle_alpha 90.00
_cell_angle_beta 115.62
_cell_angle_gamma 90.00
_space_group_name_H-M_alt 'P 1 21/m 1'
_space_group_IT_number 11
loop_
_space_group_symop_operation_xyz
'x,y,z'
'-x,-y,-z'
'-x,y+1/2,-z'
'x,-y+1/2,z'
loop_
_atom_site_label
_atom_site_type_symbol
_atom_site_fract_x
_atom_site_fract_y
_atom_site_fract_z
_atom_site_occupancy
Li1 Li 0.0354 0.2500 0.4268 1
Li2 Li 0.1961 0.7500 0.9969 1
Zn1 Zn 0.2468 0.2500 0.2027 1
Zn2 Zn 0.3888 0.0004 0.7773 1
Zn3 Zn 0.3950 0.7500 0.4236 1
Au1 Au 0.0357 0.2500 0.7909 1
```

4.
Calculated X-ray diffraction stick pattern
Compound: NaCeZnAg
Radiation: λ = 1.5418 Å (Cu Kα)
Structure: a crystal structure in Alexandria, relaxed with PBE
Kinematic intensities with the Lorentz-polarization factor, no thermal factor.

Main lines, sorted by position (2θ = 5–70°):
- 21.25 deg, d = 4.182 Å, intensity 29
- 35.04 deg, d = 2.561 Å, intensity 100
- 41.35 deg, d = 2.184 Å, intensity 15
- 50.40 deg, d = 1.811 Å, intensity 17
- 55.29 deg, d = 1.662 Å, intensity 7
- 62.86 deg, d = 1.478 Å, intensity 35
- 67.16 deg, d = 1.394 Å, intensity 5

Structural model:
```
data_NaCeZnAg
_chemical_formula_sum 'Na4 Ce4 Zn4 Ag4'
_cell_length_a 7.2426
_cell_length_b 7.2426
_cell_length_c 7.2426
_cell_angle_alpha 90.00
_cell_angle_beta 90.00
_cell_angle_gamma 90.00
_space_group_name_H-M_alt 'F -4 3 m'
_space_group_IT_number 216
_space_group_name_Hall 'F -4 2 3'
loop_
_atom_site_label
_atom_site_type_symbol
_atom_site_fract_x
_atom_site_fract_y
_atom_site_fract_z
_atom_site_occupancy
Na1 Na 0.0000 0.0000 0.0000 1
Ce1 Ce 0.0000 0.0000 0.5000 1
Zn1 Zn 0.2500 0.2500 0.7500 1
Ag1 Ag 0.2500 0.2500 0.2500 1
```

5.
Calculated X-ray diffraction stick pattern
Compound: RbNbTe2O8
Radiation: λ = 1.5418 Å (Cu Kα)
Structure: a crystal structure in Alexandria, relaxed with PBE
Kinematic intensities with the Lorentz-polarization factor, no thermal factor.

Main lines, sorted by position (2θ = 5–70°):
- 13.69 deg, d = 6.466 Å, intensity 85
- 23.81 deg, d = 3.737 Å, intensity 100
- 24.05 deg, d = 3.700 Å, intensity 23
- 27.51 deg, d = 3.242 Å, intensity 34
- 28.74 deg, d = 3.106 Å, intensity 93
- 28.87 deg, d = 3.093 Å, intensity 20
- 30.78 deg, d = 2.905 Å, intensity 21
- 31.64 deg, d = 2.828 Å, intensity 40
- 34.94 deg, d = 2.568 Å, intensity 16
- 42.43 deg, d = 2.131 Å, intensity 17
- 45.85 deg, d = 1.979 Å, intensity 19
- 54.59 deg, d = 1.681 Å, intensity 19

Structural model:
```
data_RbNbTe2O8
_chemical_formula_sum 'Rb2 Nb2 Te4 O16'
_cell_length_a 11.6033
_cell_length_b 5.6558
_cell_length_c 6.7709
_cell_angle_alpha 90.00
_cell_angle_beta 107.26
_cell_angle_gamma 90.00
_space_group_name_H-M_alt 'C 1 2/m 1'
_space_group_IT_number 12
loop_
_space_group_symop_operation_xyz
'x,y,z'
'-x,-y,-z'
'-x,y,-z'
'x,-y,z'
'x+1/2,y+1/2,z'
'-x+1/2,-y+1/2,-z'
'-x+1/2,y+1/2,-z'
'x+1/2,-y+1/2,z'
loop_
_atom_site_label
_atom_site_type_symbol
_atom_site_fract_x
_atom_site_fract_y
_atom_site_fract_z
_atom_site_occupancy
Rb1 Rb 0.0000 0.0000 0.0000 1
Nb1 Nb 0.0000 0.5000 0.5000 1
Te1 Te 0.2127 0.0000 0.6452 1
O1 O 0.0986 0.5000 0.3073 1
O2 O 0.1043 0.2472 0.6851 1
O3 O 0.1825 0.0000 0.3651 1
```

6.
Calculated X-ray diffraction stick pattern
Compound: ZnCuPt2
Radiation: λ = 1.5418 Å (Cu Kα)
Structure: a crystal structure in Alexandria, relaxed with PBE
Kinematic intensities with the Lorentz-polarization factor, no thermal factor.

Main lines, sorted by position (2θ = 5–70°):
- 20.77 deg, d = 4.276 Å, intensity 36
- 37.75 deg, d = 2.383 Å, intensity 16
- 37.89 deg, d = 2.374 Å, intensity 8
- 39.78 deg, d = 2.266 Å, intensity 100
- 42.27 deg, d = 2.138 Å, intensity 28
- 46.94 deg, d = 1.936 Å, intensity 42
- 47.16 deg, d = 1.927 Å, intensity 20
- 51.92 deg, d = 1.761 Å, intensity 10
- 63.59 deg, d = 1.463 Å, intensity 4
- 63.84 deg, d = 1.458 Å, intensity 2
- 66.78 deg, d = 1.401 Å, intensity 7
- 66.98 deg, d = 1.397 Å, intensity 14

Structural model:
```
data_ZnCuPt2
_chemical_formula_sum 'Zn2 Cu2 Pt4'
_cell_length_a 8.7093
_cell_length_b 2.8017
_cell_length_c 4.8353
_cell_angle_alpha 90.00
_cell_angle_beta 100.87
_cell_angle_gamma 90.00
_space_group_name_H-M_alt 'C 1 2/m 1'
_space_group_IT_number 12
loop_
_space_group_symop_operation_xyz
'x,y,z'
'-x,-y,-z'
'-x,y,-z'
'x,-y,z'
'x+1/2,y+1/2,z'
'-x+1/2,-y+1/2,-z'
'-x+1/2,y+1/2,-z'
'x+1/2,-y+1/2,z'
loop_
_atom_site_label
_atom_site_type_symbol
_atom_site_fract_x
_atom_site_fract_y
_atom_site_fract_z
_atom_site_occupancy
Zn1 Zn 0.0000 0.0000 0.0000 1
Cu1 Cu 0.0000 0.5000 0.5000 1
Pt1 Pt 0.2489 0.5000 0.2518 1
```

7.
Calculated X-ray diffraction stick pattern
Compound: Eu2ReO5
Radiation: λ = 1.5418 Å (Cu Kα)
Structure: a crystal structure in Alexandria, relaxed with PBE
Kinematic intensities with the Lorentz-polarization factor, no thermal factor.

Main lines, sorted by position (2θ = 5–70°):
- 20.23 deg, d = 4.389 Å, intensity 14
- 27.17 deg, d = 3.282 Å, intensity 100
- 28.76 deg, d = 3.104 Å, intensity 15
- 31.59 deg, d = 2.832 Å, intensity 20
- 32.25 deg, d = 2.776 Å, intensity 59
- 33.24 deg, d = 2.695 Å, intensity 15
- 37.81 deg, d = 2.380 Å, intensity 12
- 39.98 deg, d = 2.255 Å, intensity 16
- 46.25 deg, d = 1.963 Å, intensity 17
- 51.39 deg, d = 1.778 Å, intensity 21
- 51.65 deg, d = 1.770 Å, intensity 19
- 58.70 deg, d = 1.573 Å, intensity 18

Structural model:
```
data_Eu2ReO5
_chemical_formula_sum 'Eu8 Re4 O20'
_cell_length_a 8.7785
_cell_length_b 8.7785
_cell_length_c 5.9835
_cell_angle_alpha 90.00
_cell_angle_beta 90.00
_cell_angle_gamma 90.00
_space_group_name_H-M_alt 'P 4/n'
_space_group_IT_number 85
loop_
_space_group_symop_operation_xyz
'x,y,z'
'-x,-y,-z'
'-y+1/2,x,z'
'y+1/2,-x,-z'
'-x+1/2,-y+1/2,z'
'x+1/2,y+1/2,-z'
'y,-x+1/2,z'
'-y,x+1/2,-z'
loop_
_atom_site_label
_atom_site_type_symbol
_atom_site_fract_x
_atom_site_fract_y
_atom_site_fract_z
_atom_site_occupancy
Eu1 Eu 0.1034 0.8900 0.2486 1
Re1 Re 0.2500 0.2500 0.1440 1
Re2 Re 0.2500 0.2500 0.5461 1
O1 O 0.0573 0.1605 0.0907 1
O2 O 0.0570 0.3384 0.6052 1
O3 O 0.2500 0.7500 0.0000 1
O4 O 0.2500 0.7500 0.5000 1
```

8.
Calculated X-ray diffraction stick pattern
Compound: MoBr
Radiation: λ = 1.5418 Å (Cu Kα)
Structure: a crystal structure in Alexandria, relaxed with PBE
Kinematic intensities with the Lorentz-polarization factor, no thermal factor.

Main lines, sorted by position (2θ = 5–70°):
- 9.37 deg, d = 9.435 Å, intensity 100
- 30.44 deg, d = 2.937 Å, intensity 21
- 32.95 deg, d = 2.718 Å, intensity 17
- 34.90 deg, d = 2.571 Å, intensity 34
- 35.29 deg, d = 2.543 Å, intensity 57
- 36.44 deg, d = 2.466 Å, intensity 14
- 37.14 deg, d = 2.421 Å, intensity 10
- 40.61 deg, d = 2.222 Å, intensity 8
- 43.02 deg, d = 2.103 Å, intensity 23
- 43.56 deg, d = 2.078 Å, intensity 21
- 48.23 deg, d = 1.887 Å, intensity 17
- 52.44 deg, d = 1.745 Å, intensity 13

Structural model:
```
data_MoBr
_chemical_formula_sum 'Mo2 Br2'
_cell_length_a 3.2406
_cell_length_b 3.2432
_cell_length_c 9.4844
_cell_angle_alpha 84.65
_cell_angle_beta 85.56
_cell_angle_gamma 65.13
_space_group_name_H-M_alt 'P -1'
_space_group_IT_number 2
loop_
_space_group_symop_operation_xyz
'x,y,z'
'-x,-y,-z'
loop_
_atom_site_label
_atom_site_type_symbol
_atom_site_fract_x
_atom_site_fract_y
_atom_site_fract_z
_atom_site_occupancy
Mo1 Mo 0.2220 0.2141 0.0928 1
Br1 Br 0.1251 0.1475 0.7004 1
```